The following is a simulated X-ray diffraction stick pattern of CsV2InI8. It was derived from the GGA-PBE geometry in Alexandria, using Cu Kα, 1.54184 Å.
Intensities are scaled so that the largest is 100.

Peak list (10 most intense, 2θ from 5° to 70°, most intense first)
two_theta  I/Imax
24.3  100
28.1  86
40.4  42
39.8  40
23.9  31
47.5  24
47.0  16
49.9  15
16.9  14
47.7  13

abc: 12.0271 12.0271 12.0271
angles: 37.54 37.54 37.54
Fractional coordinates of all 12 atoms:
Cs: 0.0000 0.0000 0.0000
V: 0.2533 0.2533 0.2533
V: 0.7467 0.7467 0.7467
In: 0.5000 0.5000 0.5000
I: 0.0741 0.8005 0.4384
I: 0.1995 0.5616 0.9259
I: 0.3303 0.3303 0.3303
I: 0.4384 0.0741 0.8005
I: 0.5616 0.9259 0.1995
I: 0.6697 0.6697 0.6697
I: 0.8005 0.4384 0.0741
I: 0.9259 0.1995 0.5616

***

The following is a simulated X-ray diffraction stick pattern of CsKIrI6. It was derived from the GGA-PBE geometry in Alexandria, using Cu Kα, 1.54184 Å.
Intensities are scaled so that the largest is 100.

Peak list (10 most intense, 2θ from 5° to 70°, most intense first)
two_theta  I/Imax
11.9  100
24.2  90
34.3  79
17.2  75
32.6  65
50.2  29
36.2  26
40.8  25
55.3  21
48.9  18

abc: 8.5985 8.5985 7.1363
angles: 90.01 90.01 120.05
Fractional coordinates of all 9 atoms:
Cs: 0.0000 0.0000 0.0000
K: 0.6665 0.3335 0.5000
Ir: 0.3333 0.6667 0.5000
I: 0.0727 0.4154 0.2802
I: 0.0733 0.6575 0.7203
I: 0.3429 0.4161 0.7204
I: 0.3425 0.9267 0.2797
I: 0.5839 0.6571 0.2796
I: 0.5846 0.9273 0.7198

***

The following is a simulated X-ray diffraction stick pattern of CsK5I6. It was derived from the GGA-PBE geometry in Alexandria, using Cu Kα, 1.54184 Å.
Intensities are scaled so that the largest is 100.

Peak list (10 most intense, 2θ from 5° to 70°, most intense first)
two_theta  I/Imax
24.4  100
34.8  77
43.0  27
56.5  23
62.4  17
21.1  15
41.1  14
21.1  13
50.1  13
56.5  12

abc: 8.9282 8.9282 8.9222
angles: 99.66 99.66 120.03
Fractional coordinates of all 12 atoms:
Cs: 0.0000 0.0000 0.0000
K: 0.1630 0.8370 0.5000
K: 0.3329 0.6671 0.0000
K: 0.5000 0.5000 0.5000
K: 0.6671 0.3329 0.0000
K: 0.8370 0.1630 0.5000
I: 0.0860 0.4341 0.2579
I: 0.2616 0.2616 0.7419
I: 0.4341 0.0860 0.2579
I: 0.5659 0.9140 0.7421
I: 0.7384 0.7384 0.2581
I: 0.9140 0.5659 0.7421

***

The following is a simulated X-ray diffraction stick pattern of Cs3KI6. It was derived from the GGA-PBE geometry in Alexandria, using Cu Kα, 1.54184 Å.
Intensities are scaled so that the largest is 100.

Peak list (10 most intense, 2θ from 5° to 70°, most intense first)
two_theta  I/Imax
25.6  100
22.1  96
36.6  76
43.1  47
59.4  35
45.2  27
65.8  25
57.8  19
52.7  13
18.0  11

abc: 9.8336 9.8336 9.8336
angles: 60.00 60.00 60.00
Fractional coordinates of all 10 atoms:
Cs: 0.0000 0.0000 0.0000
Cs: 0.2500 0.2500 0.2500
Cs: 0.7500 0.7500 0.7500
K: 0.5000 0.5000 0.5000
I: 0.2599 0.2599 0.7401
I: 0.2599 0.7401 0.2599
I: 0.2599 0.7401 0.7401
I: 0.7401 0.2599 0.2599
I: 0.7401 0.2599 0.7401
I: 0.7401 0.7401 0.2599

***

The following is a simulated X-ray diffraction stick pattern of Cs12K5I2. It was derived from the GGA-PBE geometry in Alexandria, using Cu Kα, 1.54184 Å.
Intensities are scaled so that the largest is 100.

Peak list (10 most intense, 2θ from 5° to 70°, most intense first)
two_theta  I/Imax
21.5  100
20.2  56
20.9  52
32.3  24
38.4  22
6.7  22
14.2  20
23.9  20
28.6  18
35.6  16

abc: 15.2757 15.2757 12.4999
angles: 110.37 110.37 42.53
Fractional coordinates of all 19 atoms:
Cs: 0.0041 0.0041 0.2557
Cs: 0.0909 0.6157 0.3217
Cs: 0.0964 0.6122 0.8536
Cs: 0.3843 0.9091 0.6783
Cs: 0.3878 0.9036 0.1464
Cs: 0.4578 0.4578 0.6330
Cs: 0.5422 0.5422 0.3670
Cs: 0.6122 0.0964 0.8536
Cs: 0.6157 0.0909 0.3217
Cs: 0.9036 0.3878 0.1464
Cs: 0.9091 0.3843 0.6783
Cs: 0.9959 0.9959 0.7443
K: 0.2544 0.2544 0.0058
K: 0.2544 0.2544 0.5000
K: 0.5000 0.5000 0.0000
K: 0.7456 0.7456 0.5000
K: 0.7456 0.7456 0.9942
I: 0.2250 0.7750 0.5000
I: 0.7750 0.2250 0.5000

***

The following is a simulated X-ray diffraction stick pattern of Cs2KNbI6. It was derived from the GGA-PBE geometry in Alexandria, using Cu Kα, 1.54184 Å.
Intensities are scaled so that the largest is 100.

Peak list (10 most intense, 2θ from 5° to 70°, most intense first)
two_theta  I/Imax
28.4  100
25.2  93
24.0  85
40.8  66
28.6  55
11.9  31
49.0  22
42.1  20
51.7  19
14.1  15

abc: 8.5878 12.4916 9.1981
angles: 90.00 90.00 90.00
Fractional coordinates of all 20 atoms:
Cs: 0.2500 0.0199 0.2149
Cs: 0.2500 0.4801 0.2149
Cs: 0.7500 0.5199 0.7851
Cs: 0.7500 0.9801 0.7851
K: 0.2500 0.2500 0.7183
K: 0.7500 0.7500 0.2817
Nb: 0.2500 0.7500 0.7773
Nb: 0.7500 0.2500 0.2227
I: 0.0123 0.7500 0.5592
I: 0.0164 0.7500 0.0012
I: 0.2500 0.5203 0.7776
I: 0.2500 0.9797 0.7776
I: 0.4836 0.7500 0.0012
I: 0.4877 0.7500 0.5592
I: 0.5123 0.2500 0.4408
I: 0.5164 0.2500 0.9988
I: 0.7500 0.0203 0.2224
I: 0.7500 0.4797 0.2224
I: 0.9836 0.2500 0.9988
I: 0.9877 0.2500 0.4408

***

The following is a simulated X-ray diffraction stick pattern of CsKNpI6. It was derived from the GGA-PBE geometry in Alexandria, using Cu Kα, 1.54184 Å.
Intensities are scaled so that the largest is 100.

Peak list (10 most intense, 2θ from 5° to 70°, most intense first)
two_theta  I/Imax
23.3  100
30.5  80
13.0  73
16.2  54
35.6  41
33.3  27
40.0  25
35.7  23
47.6  19
11.2  18

abc: 8.7462 8.7462 15.7630
angles: 90.00 90.00 120.00
Fractional coordinates of all 18 atoms:
Cs: 0.0000 0.0000 0.0000
Cs: 0.0000 0.0000 0.5000
K: 0.3333 0.6667 0.2500
K: 0.6667 0.3333 0.7500
Np: 0.3333 0.6667 0.7500
Np: 0.6667 0.3333 0.2500
I: 0.0481 0.3923 0.6384
I: 0.0481 0.6558 0.8616
I: 0.3442 0.3923 0.8616
I: 0.3442 0.9519 0.6384
I: 0.3923 0.0481 0.1384
I: 0.3923 0.3442 0.3616
I: 0.6077 0.6558 0.6384
I: 0.6077 0.9519 0.8616
I: 0.6558 0.0481 0.3616
I: 0.6558 0.6077 0.1384
I: 0.9519 0.3442 0.1384
I: 0.9519 0.6077 0.3616

***

The following is a simulated X-ray diffraction stick pattern of Cs2KPbI5. It was derived from the GGA-PBE geometry in Alexandria, using Cu Kα, 1.54184 Å.
Intensities are scaled so that the largest is 100.

Peak list (10 most intense, 2θ from 5° to 70°, most intense first)
two_theta  I/Imax
27.9  100
11.1  76
28.7  57
40.5  54
28.8  46
19.9  40
15.1  33
25.2  32
25.9  30
50.8  21

abc: 10.7729 10.7729 10.7729
angles: 146.54 131.60 60.11
Fractional coordinates of all 9 atoms:
Cs: 0.2033 0.2033 0.0000
Cs: 0.7967 0.7967 0.0000
K: 0.5000 0.0000 0.5000
Pb: 0.0000 0.5000 0.5000
I: 0.0000 0.0000 0.0000
I: 0.1320 0.3751 0.7569
I: 0.3818 0.6249 0.7569
I: 0.6182 0.3751 0.2431
I: 0.8680 0.6249 0.2431

***

The following is a simulated X-ray diffraction stick pattern of Cs2KPmI6. It was derived from the GGA-PBE geometry in Alexandria, using Cu Kα, 1.54184 Å.
Intensities are scaled so that the largest is 100.

Peak list (10 most intense, 2θ from 5° to 70°, most intense first)
two_theta  I/Imax
27.2  100
24.3  87
22.8  71
27.4  63
39.0  62
11.4  53
44.5  32
30.8  31
28.1  31
34.2  28

abc: 8.8600 12.9996 9.7413
angles: 90.00 90.00 90.00
Fractional coordinates of all 20 atoms:
Cs: 0.2500 0.0400 0.1892
Cs: 0.2500 0.4600 0.1892
Cs: 0.7500 0.5400 0.8108
Cs: 0.7500 0.9600 0.8108
K: 0.2500 0.2500 0.7077
K: 0.7500 0.7500 0.2923
Pm: 0.2500 0.7500 0.7853
Pm: 0.7500 0.2500 0.2147
I: 0.0073 0.2500 0.4274
I: 0.0100 0.7500 0.0200
I: 0.2500 0.5113 0.7877
I: 0.2500 0.9887 0.7877
I: 0.4900 0.7500 0.0200
I: 0.4927 0.2500 0.4274
I: 0.5073 0.7500 0.5726
I: 0.5100 0.2500 0.9800
I: 0.7500 0.0113 0.2123
I: 0.7500 0.4887 0.2123
I: 0.9900 0.2500 0.9800
I: 0.9927 0.7500 0.5726

***

The following is a simulated X-ray diffraction stick pattern of CsKPuI6. It was derived from the GGA-PBE geometry in Alexandria, using Cu Kα, 1.54184 Å.
Intensities are scaled so that the largest is 100.

Peak list (10 most intense, 2θ from 5° to 70°, most intense first)
two_theta  I/Imax
23.3  100
30.7  79
13.0  74
16.3  54
35.5  41
33.3  27
40.3  25
35.8  23
47.6  19
11.3  17

abc: 8.7506 8.7506 15.6408
angles: 90.00 90.00 120.00
Fractional coordinates of all 18 atoms:
Cs: 0.0000 0.0000 0.0000
Cs: 0.0000 0.0000 0.5000
K: 0.3333 0.6667 0.2500
K: 0.6667 0.3333 0.7500
Pu: 0.3333 0.6667 0.7500
Pu: 0.6667 0.3333 0.2500
I: 0.0485 0.3933 0.6373
I: 0.0485 0.6552 0.8627
I: 0.3448 0.3933 0.8627
I: 0.3448 0.9515 0.6373
I: 0.3933 0.0485 0.1373
I: 0.3933 0.3448 0.3627
I: 0.6067 0.6552 0.6373
I: 0.6067 0.9515 0.8627
I: 0.6552 0.0485 0.3627
I: 0.6552 0.6067 0.1373
I: 0.9515 0.3448 0.1373
I: 0.9515 0.6067 0.3627

***

The following is a simulated X-ray diffraction stick pattern of CsKPuI4. It was derived from the GGA-PBE geometry in Alexandria, using Cu Kα, 1.54184 Å.
Intensities are scaled so that the largest is 100.

Peak list (10 most intense, 2θ from 5° to 70°, most intense first)
two_theta  I/Imax
28.6  100
40.9  70
9.4  59
27.8  56
15.0  49
20.1  41
40.3  30
67.0  28
50.6  23
30.2  17

abc: 6.2413 6.2413 18.7523
angles: 90.00 90.00 90.00
Fractional coordinates of all 14 atoms:
Cs: 0.0000 0.0000 0.0000
Cs: 0.5000 0.5000 0.5000
K: 0.0000 0.0000 0.7264
K: 0.5000 0.5000 0.2264
Pu: 0.0000 0.0000 0.3658
Pu: 0.5000 0.5000 0.8658
I: 0.0000 0.0000 0.1970
I: 0.0000 0.0000 0.5365
I: 0.0000 0.5000 0.3589
I: 0.0000 0.5000 0.8589
I: 0.5000 0.0000 0.3589
I: 0.5000 0.0000 0.8589
I: 0.5000 0.5000 0.0365
I: 0.5000 0.5000 0.6970

***

The following is a simulated X-ray diffraction stick pattern of CsKReI6. It was derived from the GGA-PBE geometry in Alexandria, using Cu Kα, 1.54184 Å.
Intensities are scaled so that the largest is 100.

Peak list (10 most intense, 2θ from 5° to 70°, most intense first)
two_theta  I/Imax
23.9  100
13.3  100
32.2  93
17.0  59
36.8  40
49.1  38
34.0  35
36.0  29
42.7  20
54.7  18

abc: 8.6419 8.6419 14.5662
angles: 90.00 90.00 120.00
Fractional coordinates of all 18 atoms:
Cs: 0.0000 0.0000 0.0000
Cs: 0.0000 0.0000 0.5000
K: 0.3333 0.6667 0.2500
K: 0.6667 0.3333 0.7500
Re: 0.3333 0.6667 0.7500
Re: 0.6667 0.3333 0.2500
I: 0.0701 0.4133 0.6398
I: 0.0701 0.6568 0.8602
I: 0.3432 0.4133 0.8602
I: 0.3432 0.9299 0.6398
I: 0.4133 0.0701 0.1398
I: 0.4133 0.3432 0.3602
I: 0.5867 0.6568 0.6398
I: 0.5867 0.9299 0.8602
I: 0.6568 0.0701 0.3602
I: 0.6568 0.5867 0.1398
I: 0.9299 0.3432 0.1398
I: 0.9299 0.5867 0.3602